Theoretical powder XRD pattern of TlCoS2 for Cu Kα, 1.54184 Å, from a GGA-PBE-relaxed structure.
Peak positions follow from Bragg's law for the DFT cell and can differ from measured ones.

Principal peaks in the range 2θ = 10–80°, in order of falling intensity:
two_theta  I (rel.)  (hkl)
38.83  100.0  0 1 2
29.78  68.6  1 0 0
32.25  57.0  1 0 1
24.34  41.9  0 0 2
59.19  31.3  1 0 4
12.10  28.1  0 0 1
52.86  27.8  1 1 0
59.01  22.4  1 1 2
67.49  19.3  2 0 2
66.19  11.1  1 1 3

Structure:
```
4
Lattice="3.4641 0.0000 0.0000 -1.7321 3.0000 0.0000 0.0000 0.0000 7.3125" Properties=species:S:1:pos:R:3 pbc="T T T"
Tl 0.0000 0.0000 0.0000
Co 0.0000 0.0000 3.6562
S 0.0000 2.0000 4.7591
S 1.7321 1.0000 2.5534
```